Theoretical PXRD pattern of Mg6NbNiO8 for Cu Kα X-rays, from a cell relaxed with PBE+U.

Principal peaks in the range 10 to 80 degrees two-theta, by angle:
d_spacing  two_theta  I_rel  hkl
4.548  19.52  26  0 0 2
4.247  20.92  40  1 0 0
3.104  28.76  37  1 0 2
2.506  35.83  55  1 1 2
2.274  39.64  58  0 0 4
2.124  42.57  100  2 0 0
1.552  59.57  61  2 0 4
1.502  61.78  29  2 2 0
1.288  73.52  17  3 1 2
1.253  75.94  27  2 2 4

Structural model:
```
Mg6NbNiO8
1.0
4.247 0.000 0.000
0.000 4.247 0.000
0.000 0.000 9.095
Mg Nb Ni O
6 1 1 8
Direct
0.000 0.000 0.000
0.000 0.000 0.500
0.000 0.500 0.230
0.000 0.500 0.770
0.500 0.000 0.230
0.500 0.000 0.770
0.500 0.500 0.500
0.500 0.500 0.000
0.000 0.000 0.249
0.000 0.000 0.751
0.000 0.500 0.000
0.000 0.500 0.500
0.500 0.000 0.000
0.500 0.000 0.500
0.500 0.500 0.265
0.500 0.500 0.735
```